No. 1
Diffraction record for RuBr2Cl. The X-ray diffraction stick pattern is simulated, not measured: it uses a cell relaxed with PBE and Cu Kα (weighted mean of Kα1 and Kα2).
Peak positions follow from Bragg's law for the DFT cell and can differ from measured ones.

Most intense lines, 2θ = 10–90°, most intense first:
2θ (°)	I/Imax
13.7	100
36.9	62
27.8	47
19.3	46
52.9	38
36.5	27
46.6	25
46.5	23
27.5	16
39.2	14

Crystal structure
```
RuBr2Cl
1.0
3.6962 0.0000 0.0000
0.0000 4.9211 0.0000
0.0000 0.0000 12.9548
Ru Br Cl
2 4 2
direct
0.0000 0.0000 0.0000
0.0000 0.5000 0.5000
0.0000 0.0000 0.4551
0.0000 0.5000 0.9551
0.5000 0.0000 0.1266
0.5000 0.5000 0.6266
0.5000 0.0000 0.8768
0.5000 0.5000 0.3768
```


No. 2
Diffraction record for Li9ZnAg2. The X-ray diffraction stick pattern is simulated, not measured: it uses a cell relaxed with PBE and Cu Kα (weighted mean of Kα1 and Kα2).
Peak positions follow from Bragg's law for the DFT cell and can differ from measured ones.

Most intense lines, 2θ = 10–90°, most intense first:
2θ (°)	I/Imax
20.4	100
38.3	76
16.1	66
25.8	55
26.0	55
27.1	52
27.7	39
38.1	34
38.5	34
43.7	26

Crystal structure
```
Li9ZnAg2
1.0
4.2116 0.0000 0.0000
2.0837 4.3890 0.0000
2.0237 1.4065 10.9825
Li Zn Ag
9 1 2
direct
0.0000 0.0000 0.0000
0.0092 0.7354 0.2487
0.3337 0.9121 0.4214
0.3379 0.1740 0.1533
0.3379 0.6591 0.6638
0.6621 0.3409 0.3362
0.6621 0.8260 0.8467
0.6663 0.0879 0.5786
0.9908 0.2646 0.7513
0.0000 0.5000 0.5000
0.3317 0.4237 0.9105
0.6683 0.5763 0.0895
```


No. 3
Diffraction record for LiHoCd4. The X-ray diffraction stick pattern is simulated, not measured: it uses a cell relaxed with PBE and Cu Kα (weighted mean of Kα1 and Kα2).
Peak positions follow from Bragg's law for the DFT cell and can differ from measured ones.

Most intense lines, 2θ = 10–90°, most intense first:
2θ (°)	I/Imax
36.0	100
35.0	87
10.2	33
51.1	29
64.1	29
70.1	27
46.2	20
64.8	17
28.0	14
86.9	13

Crystal structure
```
LiHoCd4
1.0
3.1882 0.0000 0.0000
0.0000 4.9868 0.0000
-0.0061 0.0000 8.6366
Li Ho Cd
1 1 4
direct
0.0000 0.0000 0.0000
0.9984 0.5000 0.4993
0.4938 0.5000 0.8377
0.4978 0.0000 0.6715
0.4986 0.0000 0.3271
0.5037 0.5000 0.1608
```


No. 4
Diffraction record for TbGa3CoPd. The X-ray diffraction stick pattern is simulated, not measured: it uses a cell relaxed with PBE and Cu Kα (weighted mean of Kα1 and Kα2).
Peak positions follow from Bragg's law for the DFT cell and can differ from measured ones.

Most intense lines, 2θ = 10–90°, most intense first:
2θ (°)	I/Imax
39.0	100
52.7	62
34.1	56
22.8	45
32.0	39
28.5	36
46.7	29
35.7	22
59.0	22
31.2	20

Crystal structure
```
TbGa3CoPd
1.0
3.8932 -5.2660 0.0000
3.8932 5.2660 0.0000
0.0000 0.0000 5.7349
Tb Ga Co Pd
2 6 2 2
direct
0.2469 0.7531 0.7500
0.7531 0.2469 0.2500
0.2315 0.7685 0.2500
0.2389 0.2389 0.0000
0.2389 0.2389 0.5000
0.7611 0.7611 0.0000
0.7611 0.7611 0.5000
0.7685 0.2315 0.7500
0.0193 0.9807 0.2500
0.9807 0.0193 0.7500
0.4596 0.5404 0.2500
0.5404 0.4596 0.7500
```


No. 5
Diffraction record for Ac12LaPr3. The X-ray diffraction stick pattern is simulated, not measured: it uses a cell relaxed with PBE and Cu Kα (weighted mean of Kα1 and Kα2).
Peak positions follow from Bragg's law for the DFT cell and can differ from measured ones.

Most intense lines, 2θ = 10–90°, most intense first:
2θ (°)	I/Imax
27.8	100
32.2	52
46.2	39
54.8	31
54.9	16
57.5	14
74.5	13
76.7	12
85.6	9
74.4	6

Crystal structure
```
Ac12LaPr3
1.0
5.5588 0.0000 0.0000
0.0000 5.5588 0.0000
0.0000 0.0000 22.1716
Ac La Pr
12 1 3
direct
0.0000 0.0000 0.0000
0.0000 0.0000 0.2494
0.0000 0.0000 0.5000
0.0000 0.0000 0.7506
0.0000 0.5000 0.1248
0.0000 0.5000 0.3745
0.0000 0.5000 0.6255
0.0000 0.5000 0.8752
0.5000 0.0000 0.1248
0.5000 0.0000 0.3745
0.5000 0.0000 0.6255
0.5000 0.0000 0.8752
0.5000 0.5000 0.5000
0.5000 0.5000 0.0000
0.5000 0.5000 0.2498
0.5000 0.5000 0.7502
```


No. 6
Diffraction record for SmSiPd4. The X-ray diffraction stick pattern is simulated, not measured: it uses a cell relaxed with PBE and Cu Kα (weighted mean of Kα1 and Kα2).
Peak positions follow from Bragg's law for the DFT cell and can differ from measured ones.

Most intense lines, 2θ = 10–90°, most intense first:
2θ (°)	I/Imax
35.2	100
41.9	58
36.6	56
47.0	32
37.0	32
38.7	32
28.8	22
62.5	15
40.5	15
61.3	14

Crystal structure
```
SmSiPd4
1.0
7.7828 0.0000 0.0000
0.0000 3.8639 0.0000
0.0000 0.0000 6.9768
Sm Si Pd
2 2 8
direct
0.2500 0.0000 0.1316
0.7500 0.0000 0.8684
0.2500 0.0000 0.7026
0.7500 0.0000 0.2974
0.0000 0.0000 0.5000
0.0636 0.5000 0.8057
0.2500 0.5000 0.4518
0.4364 0.5000 0.8057
0.5000 0.0000 0.5000
0.5636 0.5000 0.1943
0.7500 0.5000 0.5482
0.9364 0.5000 0.1943
```


No. 7
Diffraction record for Ca2B6C3. The X-ray diffraction stick pattern is simulated, not measured: it uses a cell relaxed with PBE and Cu Kα (weighted mean of Kα1 and Kα2).
Peak positions follow from Bragg's law for the DFT cell and can differ from measured ones.

Most intense lines, 2θ = 10–90°, most intense first:
2θ (°)	I/Imax
41.6	100
27.5	70
42.5	34
31.8	33
34.6	26
48.5	25
65.8	16
68.1	16
77.8	10
74.9	10

Crystal structure
```
Ca2B6C3
1.0
6.4968 0.0000 0.0000
-3.2484 5.6264 0.0000
0.0000 0.0000 2.9191
Ca B C
2 6 3
direct
0.3333 0.6667 0.0000
0.6667 0.3333 0.0000
0.0000 0.2480 0.5000
0.0000 0.8444 0.0000
0.1556 0.1556 0.0000
0.2480 0.0000 0.5000
0.7520 0.7520 0.5000
0.8444 0.0000 0.0000
0.0000 0.7367 0.5000
0.2633 0.2633 0.5000
0.7367 0.0000 0.5000
```


No. 8
Diffraction record for LiTbSb3. The X-ray diffraction stick pattern is simulated, not measured: it uses a cell relaxed with PBE and Cu Kα (weighted mean of Kα1 and Kα2).
Peak positions follow from Bragg's law for the DFT cell and can differ from measured ones.

Most intense lines, 2θ = 10–90°, most intense first:
2θ (°)	I/Imax
32.5	100
31.4	56
42.0	54
34.8	51
33.2	42
35.9	38
49.9	35
33.6	35
28.4	33
41.5	29

Crystal structure
```
LiTbSb3
1.0
13.4811 0.0000 0.0000
0.0000 6.0323 0.0000
0.0000 0.0000 6.2898
Li Tb Sb
4 4 12
direct
0.1077 0.2500 0.0000
0.1077 0.2500 0.5000
0.8923 0.7500 0.0000
0.8923 0.7500 0.5000
0.3180 0.5109 0.2500
0.3180 0.9891 0.7500
0.6820 0.0109 0.2500
0.6820 0.4891 0.7500
0.0825 0.7088 0.2500
0.0825 0.7912 0.7500
0.2543 0.0025 0.2500
0.2543 0.4975 0.7500
0.4960 0.2500 0.0000
0.4960 0.2500 0.5000
0.5040 0.7500 0.0000
0.5040 0.7500 0.5000
0.7457 0.5025 0.2500
0.7457 0.9975 0.7500
0.9175 0.2088 0.2500
0.9175 0.2912 0.7500
```


No. 9
Diffraction record for La5TbNd2Th. The X-ray diffraction stick pattern is simulated, not measured: it uses a cell relaxed with PBE and Cu Kα (weighted mean of Kα1 and Kα2).
Peak positions follow from Bragg's law for the DFT cell and can differ from measured ones.

Most intense lines, 2θ = 10–90°, most intense first:
2θ (°)	I/Imax
30.8	100
32.1	32
33.7	20
56.4	19
30.2	17
58.5	15
47.2	15
32.3	14
26.1	14
11.6	9

Crystal structure
```
La5TbNd2Th
1.0
5.5785 0.0000 0.0000
0.0000 10.6287 0.0000
-2.7866 0.0000 11.0404
La Tb Nd Th
10 2 4 2
direct
0.0000 0.0000 0.0000
0.0000 0.5000 0.0000
0.1300 0.2500 0.2604
0.2241 0.5589 0.4484
0.2241 0.9411 0.4484
0.4987 0.2500 0.9985
0.5013 0.7500 0.0015
0.7759 0.0589 0.5516
0.7759 0.4411 0.5516
0.8700 0.7500 0.7396
0.1035 0.7500 0.2056
0.8965 0.2500 0.7944
0.3881 0.0019 0.7758
0.3881 0.4981 0.7758
0.6119 0.5019 0.2242
0.6119 0.9981 0.2242
0.2898 0.2500 0.5803
0.7102 0.7500 0.4197
```


No. 10
Diffraction record for Ho2ErZn4. The X-ray diffraction stick pattern is simulated, not measured: it uses a cell relaxed with PBE and Cu Kα (weighted mean of Kα1 and Kα2).
Peak positions follow from Bragg's law for the DFT cell and can differ from measured ones.

Most intense lines, 2θ = 10–90°, most intense first:
2θ (°)	I/Imax
38.2	100
35.2	77
27.7	44
65.2	41
50.6	27
45.4	23
28.6	17
18.8	17
66.8	16
54.8	14

Crystal structure
```
Ho2ErZn4
1.0
5.1022 0.0000 0.0000
0.0000 5.1022 0.0000
0.0000 0.0000 12.4211
Ho Er Zn
4 2 8
direct
0.0000 0.0000 0.2265
0.0000 0.0000 0.7735
0.5000 0.5000 0.2735
0.5000 0.5000 0.7265
0.0000 0.0000 0.5000
0.5000 0.5000 0.0000
0.0000 0.5000 0.1102
0.0000 0.5000 0.3898
0.0000 0.5000 0.6102
0.0000 0.5000 0.8898
0.5000 0.0000 0.1102
0.5000 0.0000 0.3898
0.5000 0.0000 0.6102
0.5000 0.0000 0.8898
```